1.
Simulated X-ray diffraction stick pattern
Compound: BaCrH6
Radiation: Cu Kα X-rays
Structure: a cell relaxed with PBE
No peak broadening, texture or thermal motion is included.

Structural model:
```
data_BaCrH6
_chemical_formula_sum 'Ba2 Cr2 H12'
_cell_length_a 3.871
_cell_length_b 5.960
_cell_length_c 7.569
_cell_angle_alpha 90.00
_cell_angle_beta 90.00
_cell_angle_gamma 90.00
_space_group_name_H-M_alt 'I m m m'
_space_group_IT_number 71
_space_group_name_Hall '-I 2 2'
loop_
_atom_site_label
_atom_site_fract_x
_atom_site_fract_y
_atom_site_fract_z
Ba1 0.000 0.000 0.000
Cr1 0.000 0.000 0.500
H1 0.000 0.214 0.349
H2 0.000 0.500 0.061
```

Top 8 peaks for 15° ≤ 2θ ≤ 90°, by angle:
| d_spacing | Position (°2θ) | I/Imax |
| --- | --- | --- |
| 4.682 | 18.95 | 36 |
| 3.784 | 23.51 | 76 |
| 3.247 | 27.47 | 100 |
| 2.980 | 29.99 | 39 |
| 2.464 | 36.46 | 92 |
| 2.341 | 38.45 | 42 |
| 1.635 | 56.27 | 26 |
| 1.491 | 62.25 | 24 |

***

2.
Simulated X-ray diffraction stick pattern
Compound: BaCr2H
Radiation: Cu Kα X-rays
Structure: a cell relaxed with PBE
No peak broadening, texture or thermal motion is included.

Structural model:
a b c (Å): 8.742 8.742 8.742
angles (deg): 90.00 90.00 90.00
Space group Fd-3m (No. 227, origin choice 2)
Asymmetric unit:
Ba  0.125  0.125  0.125 x8
Cr  0.000  0.000  0.500 x16
H  0.125  0.125  0.625 x8

Top 8 peaks for 15° ≤ 2θ ≤ 90°, by angle:
| d_spacing | Position (°2θ) | I/Imax |
| --- | --- | --- |
| 3.091 | 28.89 | 64 |
| 2.636 | 34.01 | 100 |
| 2.524 | 35.57 | 16 |
| 1.784 | 51.19 | 25 |
| 1.682 | 54.54 | 33 |
| 1.545 | 59.85 | 24 |
| 1.168 | 82.59 | 13 |
| 1.138 | 85.27 | 20 |